Theoretical powder diffractogram
Compound: NdYTiIn
Radiation: Cu Kα (λ = 1.5418 Å)
Structure: a cell relaxed with GGA-PBE
Peak positions follow from Bragg's law for the DFT cell and can differ from measured ones.

Structure:
```
data_NdYTiIn
_symmetry_space_group_name_H-M 'F -4 3 m'
_symmetry_Int_Tables_number 216
_symmetry_space_group_name_Hall 'F -4 2 3'
_cell_length_a 7.546
_cell_length_b 7.546
_cell_length_c 7.546
_cell_angle_alpha 90.00
_cell_angle_beta 90.00
_cell_angle_gamma 90.00
loop_
_atom_site_label
_atom_site_type_symbol
_atom_site_fract_x
_atom_site_fract_y
_atom_site_fract_z
Nd1 Nd 0.000 0.000 0.000
Y1 Y 0.000 0.000 0.500
Ti1 Ti 0.250 0.250 0.750
In1 In 0.250 0.250 0.250
```

Principal peaks in the range 2θ = 10–90°, by intensity:
h k l	two_theta	I_rel
2 2 0	33.59	100.0
4 2 2	60.06	35.9
4 0 0	48.24	17.6
6 2 0	80.50	15.2
4 4 0	70.61	10.9
1 1 1	20.38	10.7
3 1 1	39.61	6.2
2 0 0	23.58	3.8
3 3 1	52.89	2.8
5 1 1	64.13	2.1

***

Theoretical powder diffractogram
Compound: Nd6TlIn6
Radiation: Cu Kα (λ = 1.5418 Å)
Structure: a cell relaxed with GGA-PBE
Peak positions follow from Bragg's law for the DFT cell and can differ from measured ones.

Structure:
```
data_Nd6TlIn6
_symmetry_space_group_name_H-M 'P 6/m m m'
_symmetry_Int_Tables_number 191
_symmetry_space_group_name_Hall '-P 6 2'
_cell_length_a 6.4942
_cell_length_b 6.4942
_cell_length_c 10.9081
_cell_angle_alpha 90.00
_cell_angle_beta 90.00
_cell_angle_gamma 120.00
loop_
_atom_site_label
_atom_site_type_symbol
_atom_site_fract_x
_atom_site_fract_y
_atom_site_fract_z
Nd1 Nd 0.0000 0.0000 0.1936
Nd2 Nd 0.3333 0.6667 0.0000
Nd3 Nd 0.3333 0.6667 0.5000
Tl1 Tl 0.0000 0.0000 0.5000
In1 In 0.0000 0.5000 0.2489
```

Principal peaks in the range 2θ = 10–90°, by intensity:
h k l	two_theta	I_rel
2 0 2	35.93	100.0
1 1 2	32.08	83.1
1 1 0	27.47	68.3
2 0 0	31.82	55.2
0 0 4	32.84	49.3
2 2 0	56.70	40.5
2 2 4	67.09	36.0
1 0 3	29.25	33.6
1 1 6	58.15	32.7
3 0 2	51.55	21.8

***

Theoretical powder diffractogram
Compound: Nd2Tl5In
Radiation: Cu Kα (λ = 1.5418 Å)
Structure: a cell relaxed with GGA-PBE
Peak positions follow from Bragg's law for the DFT cell and can differ from measured ones.

Structure:
```
data_Nd2Tl5In
_symmetry_space_group_name_H-M 'P b a m'
_symmetry_Int_Tables_number 55
_cell_length_a 6.813
_cell_length_b 13.628
_cell_length_c 4.804
_cell_angle_alpha 90.00
_cell_angle_beta 90.00
_cell_angle_gamma 90.00
loop_
_symmetry_equiv_pos_as_xyz
'x,y,z'
'-x,-y,-z'
'-x,-y,z'
'x,y,-z'
'x+1/2,-y+1/2,-z'
'-x+1/2,y+1/2,z'
'-x+1/2,y+1/2,-z'
'x+1/2,-y+1/2,z'
loop_
_atom_site_label
_atom_site_type_symbol
_atom_site_fract_x
_atom_site_fract_y
_atom_site_fract_z
Nd1 Nd 0.248 0.125 0.000
Tl1 Tl 0.000 0.000 0.500
Tl2 Tl 0.003 0.749 0.500
Tl3 Tl 0.245 0.376 0.000
In1 In 0.000 0.500 0.500
```

Principal peaks in the range 2θ = 10–90°, by intensity:
h k l	two_theta	I_rel
2 0 1	32.21	100.0
2 4 2	53.88	35.5
2 4 0	37.33	33.7
2 8 1	64.12	28.0
0 0 2	37.44	16.8
2 0 3	64.28	14.0
2 8 3	88.60	12.2
0 8 2	67.40	12.1
0 12 1	88.47	6.1
4 8 0	79.59	3.8

***

Theoretical powder diffractogram
Compound: Nd8Tl3In2
Radiation: Cu Kα (λ = 1.5418 Å)
Structure: a cell relaxed with GGA-PBE
Peak positions follow from Bragg's law for the DFT cell and can differ from measured ones.

Structure:
```
data_Nd8Tl3In2
_symmetry_space_group_name_H-M 'C m m m'
_symmetry_Int_Tables_number 65
_symmetry_space_group_name_Hall '-C 2 2'
_cell_length_a 9.158
_cell_length_b 16.374
_cell_length_c 5.725
_cell_angle_alpha 90.00
_cell_angle_beta 90.00
_cell_angle_gamma 90.00
loop_
_atom_site_label
_atom_site_type_symbol
_atom_site_fract_x
_atom_site_fract_y
_atom_site_fract_z
Nd1 Nd 0.000 0.106 0.000
Nd2 Nd 0.000 0.314 0.000
Nd3 Nd 0.208 0.382 0.500
Tl1 Tl 0.000 0.000 0.500
Tl2 Tl 0.176 0.500 0.000
In1 In 0.000 0.222 0.500
```

Principal peaks in the range 2θ = 10–90°, by intensity:
h k l	two_theta	I_rel
2 4 1	33.27	100.0
1 5 1	32.99	81.8
0 0 2	31.25	61.6
3 1 0	29.77	38.8
5 5 1	60.09	27.9
3 1 2	43.70	27.5
2 4 3	56.91	21.6
3 3 1	37.22	19.3
3 9 0	59.09	18.0
1 5 3	56.73	17.4

***

Theoretical powder diffractogram
Compound: Nd2Tl3In
Radiation: Cu Kα (λ = 1.5418 Å)
Structure: a cell relaxed with GGA-PBE
Peak positions follow from Bragg's law for the DFT cell and can differ from measured ones.

Structure:
```
data_Nd2Tl3In
_symmetry_space_group_name_H-M 'P m m 2'
_symmetry_Int_Tables_number 25
_cell_length_a 3.672
_cell_length_b 5.048
_cell_length_c 9.252
_cell_angle_alpha 90.00
_cell_angle_beta 90.00
_cell_angle_gamma 90.00
loop_
_symmetry_equiv_pos_as_xyz
'x,y,z'
'-x,-y,z'
'-x,y,z'
'x,-y,z'
loop_
_atom_site_label
_atom_site_type_symbol
_atom_site_fract_x
_atom_site_fract_y
_atom_site_fract_z
Nd1 Nd 0.000 0.000 0.000
Nd2 Nd 0.000 0.500 0.494
Tl1 Tl 0.500 0.000 0.657
Tl2 Tl 0.500 0.500 0.165
Tl3 Tl 0.500 0.500 0.833
In1 In 0.500 0.000 0.331
```

Principal peaks in the range 2θ = 10–90°, by intensity:
h k l	two_theta	I_rel
1 1 1	31.64	100.0
0 1 3	34.07	95.1
1 0 2	31.09	48.2
0 2 0	35.57	42.5
2 1 3	61.58	34.8
1 2 2	47.95	29.2
1 0 0	24.23	20.2
1 1 3	42.25	19.1
1 0 4	46.39	18.7
1 2 4	59.80	17.6

***

Theoretical powder diffractogram
Compound: Nd7Tm2In2
Radiation: Cu Kα (λ = 1.5418 Å)
Structure: a cell relaxed with GGA-PBE
Peak positions follow from Bragg's law for the DFT cell and can differ from measured ones.

Structure:
```
data_Nd7Tm2In2
_symmetry_space_group_name_H-M 'I m m 2'
_symmetry_Int_Tables_number 44
_cell_length_a 3.679
_cell_length_b 17.773
_cell_length_c 11.296
_cell_angle_alpha 90.00
_cell_angle_beta 90.00
_cell_angle_gamma 90.00
loop_
_symmetry_equiv_pos_as_xyz
'x,y,z'
'-x,-y,z'
'-x,y,z'
'x,-y,z'
'x+1/2,y+1/2,z+1/2'
'-x+1/2,-y+1/2,z+1/2'
'-x+1/2,y+1/2,z+1/2'
'x+1/2,-y+1/2,z+1/2'
loop_
_atom_site_label
_atom_site_type_symbol
_atom_site_fract_x
_atom_site_fract_y
_atom_site_fract_z
Nd1 Nd 0.000 0.000 0.000
Nd2 Nd 0.000 0.105 0.438
Nd3 Nd 0.000 0.322 0.690
Nd4 Nd 0.000 0.350 0.219
Tm1 Tm 0.000 0.226 0.953
In1 In 0.000 0.000 0.694
In2 In 0.000 0.500 0.744
```

Principal peaks in the range 2θ = 10–90°, by intensity:
h k l	two_theta	I_rel
1 4 1	32.58	100.0
1 1 2	29.41	92.2
0 0 4	31.68	77.4
1 3 2	32.75	77.2
0 6 2	34.18	65.3
0 5 1	26.28	60.2
1 4 3	39.82	38.3
2 0 0	49.55	29.8
1 2 3	35.58	29.4
1 9 4	62.72	28.0

***

Theoretical powder diffractogram
Compound: Nd2Tm2In5
Radiation: Cu Kα (λ = 1.5418 Å)
Structure: a cell relaxed with GGA-PBE
Peak positions follow from Bragg's law for the DFT cell and can differ from measured ones.

Structure:
```
data_Nd2Tm2In5
_symmetry_space_group_name_H-M 'I m a 2'
_symmetry_Int_Tables_number 46
_cell_length_a 14.334
_cell_length_b 7.195
_cell_length_c 10.030
_cell_angle_alpha 90.00
_cell_angle_beta 90.00
_cell_angle_gamma 90.00
loop_
_symmetry_equiv_pos_as_xyz
'x,y,z'
'-x,-y,z'
'-x+1/2,y,z'
'x+1/2,-y,z'
'x+1/2,y+1/2,z+1/2'
'-x+1/2,-y+1/2,z+1/2'
'-x,y+1/2,z+1/2'
'x,-y+1/2,z+1/2'
loop_
_atom_site_label
_atom_site_type_symbol
_atom_site_fract_x
_atom_site_fract_y
_atom_site_fract_z
Nd1 Nd 0.127 0.027 0.000
Tm1 Tm 0.000 0.000 0.565
Tm2 Tm 0.250 0.506 0.934
In1 In 0.043 0.189 0.288
In2 In 0.152 0.708 0.222
In3 In 0.250 0.190 0.715
```

Principal peaks in the range 2θ = 10–90°, by intensity:
h k l	two_theta	I_rel
0 2 2	30.58	100.0
4 1 1	29.23	95.8
2 1 3	32.05	37.2
5 1 2	38.27	37.2
2 0 4	38.02	27.7
2 2 2	33.10	26.1
2 3 1	40.68	23.6
5 1 0	33.65	23.0
4 3 1	46.45	22.2
4 1 3	38.91	16.6

***

Theoretical powder diffractogram
Compound: Nd2Tm6In
Radiation: Cu Kα (λ = 1.5418 Å)
Structure: a cell relaxed with GGA-PBE
Peak positions follow from Bragg's law for the DFT cell and can differ from measured ones.

Structure:
```
data_Nd2Tm6In
_symmetry_space_group_name_H-M 'I m m m'
_symmetry_Int_Tables_number 71
_symmetry_space_group_name_Hall '-I 2 2'
_cell_length_a 3.470
_cell_length_b 10.109
_cell_length_c 15.788
_cell_angle_alpha 90.00
_cell_angle_beta 90.00
_cell_angle_gamma 90.00
loop_
_atom_site_label
_atom_site_type_symbol
_atom_site_fract_x
_atom_site_fract_y
_atom_site_fract_z
Nd1 Nd 0.000 0.000 0.151
Tm1 Tm 0.000 0.292 0.500
Tm2 Tm 0.000 0.338 0.177
In1 In 0.000 0.500 0.000
```

Principal peaks in the range 2θ = 10–90°, by intensity:
h k l	two_theta	I_rel
0 3 3	31.53	100.0
1 0 3	30.87	84.5
1 3 0	37.19	45.2
0 0 6	34.07	42.1
1 3 6	51.32	29.7
2 3 3	62.78	27.9
1 2 1	31.79	23.2
0 3 9	59.41	16.8
1 2 3	35.73	15.6
2 0 0	52.77	14.2

***

Theoretical powder diffractogram
Compound: NdTm15In4
Radiation: Cu Kα (λ = 1.5418 Å)
Structure: a cell relaxed with GGA-PBE
Peak positions follow from Bragg's law for the DFT cell and can differ from measured ones.

Structure:
```
data_NdTm15In4
_symmetry_space_group_name_H-M 'P 4/m m m'
_symmetry_Int_Tables_number 123
_symmetry_space_group_name_Hall '-P 4 2'
_cell_length_a 4.802
_cell_length_b 4.802
_cell_length_c 24.419
_cell_angle_alpha 90.00
_cell_angle_beta 90.00
_cell_angle_gamma 90.00
loop_
_atom_site_label
_atom_site_type_symbol
_atom_site_fract_x
_atom_site_fract_y
_atom_site_fract_z
Nd1 Nd 0.000 0.000 0.000
Tm1 Tm 0.000 0.500 0.107
Tm2 Tm 0.000 0.500 0.304
Tm3 Tm 0.000 0.500 0.500
Tm4 Tm 0.500 0.500 0.000
Tm5 Tm 0.500 0.500 0.207
Tm6 Tm 0.500 0.500 0.402
In1 In 0.000 0.000 0.207
In2 In 0.000 0.000 0.402
```

Principal peaks in the range 2θ = 10–90°, by intensity:
h k l	two_theta	I_rel
1 1 5	32.11	100.0
2 0 0	37.46	33.8
3 1 5	64.24	27.3
2 0 10	53.53	22.2
0 0 10	36.81	16.2
1 1 15	63.36	11.9
2 2 0	54.01	11.8
2 2 10	67.16	11.2
3 1 15	87.94	10.0
3 3 5	88.73	5.9

***

Theoretical powder diffractogram
Compound: NdTmIn6
Radiation: Cu Kα (λ = 1.5418 Å)
Structure: a cell relaxed with GGA-PBE
Peak positions follow from Bragg's law for the DFT cell and can differ from measured ones.

Structure:
```
data_NdTmIn6
_symmetry_space_group_name_H-M 'P 4/m m m'
_symmetry_Int_Tables_number 123
_symmetry_space_group_name_Hall '-P 4 2'
_cell_length_a 4.666
_cell_length_b 4.666
_cell_length_c 9.323
_cell_angle_alpha 90.00
_cell_angle_beta 90.00
_cell_angle_gamma 90.00
loop_
_atom_site_label
_atom_site_type_symbol
_atom_site_fract_x
_atom_site_fract_y
_atom_site_fract_z
Nd1 Nd 0.000 0.000 0.000
Tm1 Tm 0.000 0.000 0.500
In1 In 0.000 0.500 0.256
In2 In 0.500 0.500 0.000
In3 In 0.500 0.500 0.500
```

Principal peaks in the range 2θ = 10–90°, by intensity:
h k l	two_theta	I_rel
1 1 2	33.27	100.0
2 0 0	38.60	49.8
3 1 2	66.48	38.7
2 2 0	55.74	33.3
2 2 4	69.85	11.1
4 0 0	82.73	3.6
0 0 2	19.03	1.7
0 0 8	82.83	1.7
1 1 0	27.03	1.5
2 0 2	43.38	0.9

***

Theoretical powder diffractogram
Compound: Nd5Tm4In4
Radiation: Cu Kα (λ = 1.5418 Å)
Structure: a cell relaxed with GGA-PBE
Peak positions follow from Bragg's law for the DFT cell and can differ from measured ones.

Structure:
```
data_Nd5Tm4In4
_symmetry_space_group_name_H-M 'I 4/m'
_symmetry_Int_Tables_number 87
_symmetry_space_group_name_Hall '-I 4'
_cell_length_a 12.548
_cell_length_b 12.548
_cell_length_c 5.041
_cell_angle_alpha 90.00
_cell_angle_beta 90.00
_cell_angle_gamma 90.00
loop_
_atom_site_label
_atom_site_type_symbol
_atom_site_fract_x
_atom_site_fract_y
_atom_site_fract_z
Nd1 Nd 0.000 0.000 0.000
Nd2 Nd 0.102 0.807 0.500
Tm1 Tm 0.095 0.601 0.000
In1 In 0.098 0.240 0.000
```

Principal peaks in the range 2θ = 10–90°, by intensity:
h k l	two_theta	I_rel
2 3 1	31.23	100.0
0 0 2	35.62	21.8
5 1 0	36.51	18.1
2 3 3	61.26	14.5
5 1 2	51.93	13.3
3 8 1	66.29	11.2
1 4 1	34.42	10.0
7 2 1	56.42	9.3
3 0 1	27.71	8.7
4 2 0	31.89	8.4

***

Theoretical powder diffractogram
Compound: Nd5Tm2In5
Radiation: Cu Kα (λ = 1.5418 Å)
Structure: a cell relaxed with GGA-PBE
Peak positions follow from Bragg's law for the DFT cell and can differ from measured ones.

Structure:
```
data_Nd5Tm2In5
_symmetry_space_group_name_H-M 'C 1 2/m 1'
_symmetry_Int_Tables_number 12
_cell_length_a 11.807
_cell_length_b 5.252
_cell_length_c 12.175
_cell_angle_alpha 90.00
_cell_angle_beta 110.07
_cell_angle_gamma 90.00
loop_
_symmetry_equiv_pos_as_xyz
'x,y,z'
'-x,-y,-z'
'-x,y,-z'
'x,-y,z'
'x+1/2,y+1/2,z'
'-x+1/2,-y+1/2,-z'
'-x+1/2,y+1/2,-z'
'x+1/2,-y+1/2,z'
loop_
_atom_site_label
_atom_site_type_symbol
_atom_site_fract_x
_atom_site_fract_y
_atom_site_fract_z
Nd1 Nd 0.000 0.000 0.000
Nd2 Nd 0.137 0.000 0.772
Nd3 Nd 0.156 0.000 0.498
Tm1 Tm 0.071 0.500 0.257
In1 In 0.000 0.500 0.500
In2 In 0.171 0.500 0.960
In3 In 0.224 0.000 0.267
```

Principal peaks in the range 2θ = 10–90°, by intensity:
h k l	two_theta	I_rel
3 1 -3	32.22	100.0
3 1 1	32.70	94.1
0 2 0	34.14	58.9
0 0 4	31.29	53.6
0 2 4	46.99	37.6
3 3 -3	59.92	18.3
3 3 1	60.21	16.0
3 1 5	56.89	12.6
3 1 -7	55.97	12.5
3 1 0	29.55	11.9

***

Theoretical powder diffractogram
Compound: Nd12Tm5In2
Radiation: Cu Kα (λ = 1.5418 Å)
Structure: a cell relaxed with GGA-PBE
Peak positions follow from Bragg's law for the DFT cell and can differ from measured ones.

Structure:
```
data_Nd12Tm5In2
_symmetry_space_group_name_H-M 'C 1 2/m 1'
_symmetry_Int_Tables_number 12
_cell_length_a 15.483
_cell_length_b 9.336
_cell_length_c 8.651
_cell_angle_alpha 90.00
_cell_angle_beta 93.23
_cell_angle_gamma 90.00
loop_
_symmetry_equiv_pos_as_xyz
'x,y,z'
'-x,-y,-z'
'-x,y,-z'
'x,-y,z'
'x+1/2,y+1/2,z'
'-x+1/2,-y+1/2,-z'
'-x+1/2,y+1/2,-z'
'x+1/2,-y+1/2,z'
loop_
_atom_site_label
_atom_site_type_symbol
_atom_site_fract_x
_atom_site_fract_y
_atom_site_fract_z
Nd1 Nd 0.058 0.000 0.325
Nd2 Nd 0.083 0.500 0.886
Nd3 Nd 0.124 0.196 0.662
Nd4 Nd 0.149 0.314 0.234
Tm1 Tm 0.000 0.500 0.500
Tm2 Tm 0.188 0.000 0.011
Tm3 Tm 0.232 0.500 0.583
In1 In 0.000 0.174 0.000
```

Principal peaks in the range 2θ = 10–90°, by intensity:
h k l	two_theta	I_rel
5 1 -1	31.67	100.0
2 2 -2	30.02	96.6
1 1 -3	32.75	73.2
4 0 2	31.93	54.2
1 3 -2	35.86	48.3
3 3 1	35.56	47.3
4 2 1	32.23	44.2
0 2 2	28.15	39.0
1 3 -1	30.98	38.6
3 1 2	29.32	37.9